# 1
Diffraction record for TmTaTiO6. The PXRD pattern is simulated, not measured: it uses the GGA-PBE geometry in Alexandria and Cu Kα X-rays.
Kinematic intensities with the Lorentz-polarization factor, no thermal factor.

Main lines, by angle (2θ from 5° to 70°):
index  Position (°2θ)  I/Imax
1 1 0  18.12  25
0 3 1  24.16  26
1 3 -1  29.69  76
1 3 1  29.81  100
0 0 2  32.01  22
2 0 0  34.55  19
0 6 0  36.75  20
0 6 2  49.53  22
2 6 0  51.33  19
1 9 1  61.93  33

Crystal structure
```
TmTaTiO6
1.0
5.1925 0.0000 0.0000
0.0000 14.6708 0.0000
-0.0349 0.0000 5.5915
Tm Ta Ti O
4 4 4 24
Direct
0.2469 0.0002 0.2295 Tm
0.2469 0.4998 0.7295 Tm
0.7531 0.9998 0.7705 Tm
0.7531 0.5002 0.2705 Tm
0.3179 0.1682 0.6786 Ta
0.3179 0.3318 0.1786 Ta
0.6821 0.6682 0.8214 Ta
0.6821 0.8318 0.3214 Ta
0.1857 0.6633 0.1884 Ti
0.1857 0.8367 0.6884 Ti
0.8143 0.1633 0.3116 Ti
0.8143 0.3367 0.8116 Ti
0.0265 0.0915 0.5634 O
0.0265 0.4085 0.0634 O
0.0811 0.5849 0.4108 O
0.0811 0.9151 0.9108 O
0.1447 0.2395 0.3676 O
0.1447 0.2605 0.8676 O
0.3599 0.7421 0.8603 O
0.3599 0.7579 0.3603 O
0.4187 0.0833 0.9093 O
0.4187 0.4167 0.4093 O
0.4727 0.5923 0.0696 O
0.4727 0.9077 0.5696 O
0.5273 0.0923 0.4304 O
0.5273 0.4077 0.9304 O
0.5813 0.5833 0.5907 O
0.5813 0.9167 0.0907 O
0.6401 0.2421 0.6397 O
0.6401 0.2579 0.1397 O
0.8553 0.7395 0.1324 O
0.8553 0.7605 0.6324 O
0.9189 0.0849 0.0892 O
0.9189 0.4151 0.5892 O
0.9735 0.5915 0.9366 O
0.9735 0.9085 0.4366 O
```

# 2
Diffraction record for AcCdInSn. The PXRD pattern is simulated, not measured: it uses the GGA-PBE geometry in Alexandria and Cu Kα X-rays.
Kinematic intensities with the Lorentz-polarization factor, no thermal factor.

Main lines, by angle (2θ from 5° to 70°):
index  Position (°2θ)  I/Imax
1 1 1  31.62  100
0 0 2  35.71  18
0 2 0  36.97  16
2 0 0  37.32  16
0 2 2  52.34  12
2 0 2  52.61  12
1 1 3  61.60  15
1 3 1  63.29  14
3 1 1  63.77  13
2 2 2  66.04  12

Crystal structure
```
AcCdInSn
1.0
4.8184 0.0000 0.0000
0.0000 4.8628 0.0000
0.0000 0.0000 5.0291
Ac Cd In Sn
1 1 1 1
Direct
0.0000 0.0000 0.0000 Ac
0.0000 0.5000 0.5000 Cd
0.5000 0.0000 0.5000 In
0.5000 0.5000 0.0000 Sn
```